(1)
Na8Sr3Li: simulated PXRD pattern (Cu Ka), based on a GGA-PBE-relaxed structure.
Intensities are scaled so that the largest is 100.

The 10 most intense peaks (2θ = 5–70°), by angle:
2θ = 15.47°, I = 22; 2θ = 25.36°, I = 43; 2θ = 25.54°, I = 42; 2θ = 29.89°, I = 100; 2θ = 30.08°, I = 34; 2θ = 31.23°, I = 16; 2θ = 44.81°, I = 18; 2θ = 47.64°, I = 20; 2θ = 47.74°, I = 18; 2θ = 52.09°, I = 17

Structural model:
abc: 12.052 12.052 12.052
angles: 33.88 33.88 33.88
Fractional positions:
1 Na 0.000 0.000 0.000
2 Na 0.246 0.749 0.749
3 Na 0.252 0.252 0.750
4 Na 0.252 0.750 0.252
5 Na 0.499 0.499 0.499
6 Na 0.749 0.246 0.749
7 Na 0.749 0.749 0.246
8 Na 0.750 0.252 0.252
9 Sr 0.185 0.185 0.185
10 Sr 0.312 0.312 0.312
11 Sr 0.690 0.690 0.690
12 Li 0.814 0.814 0.814


(2)
Ca2MgPb5: simulated PXRD pattern (Cu Ka), based on a GGA-PBE-relaxed structure.
Intensities are scaled so that the largest is 100.

The 10 most intense peaks (2θ = 5–70°), by angle:
2θ = 18.28°, I = 27; 2θ = 23.12°, I = 17; 2θ = 25.73°, I = 27; 2θ = 31.70°, I = 100; 2θ = 31.80°, I = 86; 2θ = 36.36°, I = 36; 2θ = 37.05°, I = 55; 2θ = 52.88°, I = 40; 2θ = 62.55°, I = 27; 2θ = 63.38°, I = 21

Structural model:
abc: 6.848 13.759 4.941
angles: 90.00 90.00 90.00
Fractional positions:
1 Ca 0.212 0.132 0.000
2 Ca 0.288 0.632 0.000
3 Ca 0.712 0.368 0.000
4 Ca 0.788 0.868 0.000
5 Mg 0.000 0.500 0.500
6 Mg 0.500 0.000 0.500
7 Pb 0.000 0.000 0.500
8 Pb 0.037 0.744 0.500
9 Pb 0.212 0.386 0.000
10 Pb 0.288 0.886 0.000
11 Pb 0.463 0.244 0.500
12 Pb 0.500 0.500 0.500
13 Pb 0.537 0.756 0.500
14 Pb 0.712 0.114 0.000
15 Pb 0.788 0.614 0.000
16 Pb 0.963 0.256 0.500


(3)
CePaRePb: simulated PXRD pattern (Cu Ka), based on a GGA-PBE-relaxed structure.
Intensities are scaled so that the largest is 100.

The 10 most intense peaks (2θ = 5–70°), by angle:
2θ = 9.91°, I = 14; 2θ = 33.74°, I = 100; 2θ = 38.52°, I = 41; 2θ = 40.42°, I = 9; 2θ = 40.80°, I = 9; 2θ = 49.60°, I = 6; 2θ = 55.61°, I = 14; 2θ = 57.06°, I = 14; 2θ = 58.78°, I = 7; 2θ = 66.64°, I = 29

Structural model:
abc: 3.306 3.306 8.926
angles: 90.00 90.00 90.00
Fractional positions:
1 Ce 0.000 0.000 0.000
2 Pa 0.000 0.000 0.590
3 Re 0.500 0.500 0.783
4 Pb 0.500 0.500 0.295


(4)
Pm8SmSc2: simulated PXRD pattern (Cu Ka), based on a GGA-PBE-relaxed structure.
Intensities are scaled so that the largest is 100.

The 10 most intense peaks (2θ = 5–70°), by angle:
2θ = 22.37°, I = 19; 2θ = 29.90°, I = 30; 2θ = 31.81°, I = 100; 2θ = 32.46°, I = 33; 2θ = 32.57°, I = 21; 2θ = 34.26°, I = 19; 2θ = 46.65°, I = 16; 2θ = 47.92°, I = 15; 2θ = 57.50°, I = 19; 2θ = 62.59°, I = 15

Structural model:
abc: 9.314 9.314 5.516
angles: 107.15 107.15 53.45
Fractional positions:
1 Pm 0.059 0.654 0.357
2 Pm 0.199 0.801 0.000
3 Pm 0.338 0.338 0.838
4 Pm 0.346 0.941 0.643
5 Pm 0.654 0.059 0.357
6 Pm 0.662 0.662 0.162
7 Pm 0.801 0.199 0.000
8 Pm 0.941 0.346 0.643
9 Sm 0.500 0.500 0.500
10 Sc 0.200 0.200 0.200
11 Sc 0.800 0.800 0.800


(5)
AcCu2Pt4: simulated PXRD pattern (Cu Ka), based on a GGA-PBE-relaxed structure.
Intensities are scaled so that the largest is 100.

The 10 most intense peaks (2θ = 5–70°), by angle:
2θ = 33.63°, I = 91; 2θ = 33.72°, I = 30; 2θ = 34.35°, I = 60; 2θ = 36.71°, I = 100; 2θ = 39.10°, I = 45; 2θ = 42.80°, I = 100; 2θ = 42.94°, I = 33; 2θ = 43.38°, I = 37; 2θ = 67.33°, I = 27; 2θ = 67.59°, I = 27

Structural model:
abc: 5.543 5.543 5.222
angles: 117.96 117.96 77.41
Fractional positions:
1 Ac 0.000 0.000 0.000
2 Cu 0.500 0.500 0.250
3 Cu 0.500 0.500 0.750
4 Pt 0.000 0.397 0.699
5 Pt 0.000 0.603 0.301
6 Pt 0.397 0.000 0.699
7 Pt 0.603 0.000 0.301


(6)
Cs2MgAgSb2: simulated PXRD pattern (Cu Ka), based on a GGA-PBE-relaxed structure.
Intensities are scaled so that the largest is 100.

The 10 most intense peaks (2θ = 5–70°), by angle:
2θ = 9.91°, I = 17; 2θ = 25.08°, I = 20; 2θ = 25.35°, I = 20; 2θ = 26.79°, I = 100; 2θ = 32.22°, I = 23; 2θ = 32.44°, I = 23; 2θ = 35.96°, I = 49; 2θ = 44.48°, I = 23; 2θ = 45.24°, I = 24; 2θ = 45.57°, I = 24

Structural model:
abc: 10.227 10.227 10.227
angles: 139.82 58.48 139.36
Fractional positions:
1 Cs 0.171 0.243 0.413
2 Cs 0.329 0.743 0.072
3 Cs 0.671 0.257 0.928
4 Cs 0.829 0.757 0.587
5 Mg 0.250 0.750 0.500
6 Mg 0.750 0.250 0.500
7 Ag 0.250 0.250 0.000
8 Ag 0.750 0.750 0.000
9 Sb 0.086 0.751 0.837
10 Sb 0.414 0.251 0.665
11 Sb 0.586 0.749 0.335
12 Sb 0.914 0.249 0.163


(7)
KCaV: simulated PXRD pattern (Cu Ka), based on a GGA-PBE-relaxed structure.
Intensities are scaled so that the largest is 100.

The 10 most intense peaks (2θ = 5–70°), by angle:
2θ = 7.99°, I = 100; 2θ = 16.07°, I = 34; 2θ = 19.71°, I = 13; 2θ = 25.50°, I = 68; 2θ = 30.05°, I = 15; 2θ = 30.86°, I = 49; 2θ = 31.45°, I = 55; 2θ = 32.00°, I = 17; 2θ = 33.71°, I = 27; 2θ = 52.40°, I = 18

Structural model:
abc: 3.491 5.689 11.492
angles: 75.73 83.58 89.98
Fractional positions:
1 K 0.000 0.000 0.000
2 K 0.452 0.385 0.229
3 Ca 0.575 0.611 0.778
4 Ca 0.663 0.224 0.552
5 V 0.181 0.730 0.540
6 V 0.959 0.802 0.396


(8)
PuMgAu4: simulated PXRD pattern (Cu Ka), based on a GGA-PBE-relaxed structure.
Intensities are scaled so that the largest is 100.

The 10 most intense peaks (2θ = 5–70°), by angle:
2θ = 31.05°, I = 17; 2θ = 31.62°, I = 16; 2θ = 35.48°, I = 100; 2θ = 37.78°, I = 76; 2θ = 38.26°, I = 74; 2θ = 50.29°, I = 19; 2θ = 51.80°, I = 17; 2θ = 64.86°, I = 16; 2θ = 64.95°, I = 16; 2θ = 65.88°, I = 31

Structural model:
abc: 3.629 3.530 9.465
angles: 90.00 90.09 90.00
Fractional positions:
1 Pu 0.000 0.000 0.000
2 Mg 0.500 0.500 0.500
3 Au 0.000 0.000 0.349
4 Au 0.000 0.000 0.651
5 Au 0.499 0.500 0.189
6 Au 0.501 0.500 0.811